# KMn2Cr2O10
Theoretical X-ray powder pattern, Cu Kα. Input: a GGA+U-relaxed structure.

Structure:
```
data_KMn2Cr2O10
_chemical_formula_sum 'K2 Mn4 Cr4 O20'
_cell_length_a 9.594
_cell_length_b 6.176
_cell_length_c 8.276
_cell_angle_alpha 90.00
_cell_angle_beta 115.50
_cell_angle_gamma 90.00
_symmetry_space_group_name_H-M 'C 1 2/m 1'
_symmetry_Int_Tables_number 12
_symmetry_space_group_name_Hall '-C 2y'
loop_
_atom_site_label
_atom_site_fract_x
_atom_site_fract_y
_atom_site_fract_z
K1 0.000 0.000 0.000
Mn1 0.250 0.250 0.500
Cr1 0.074 0.500 0.767
O1 0.040 0.279 0.286
O2 0.185 0.500 0.651
O3 0.186 0.500 0.979
O4 0.188 0.000 0.575
```

Principal peaks in the range 10° ≤ 2θ ≤ 80°, most intense first:
d = 3.733 Å, 23.8 deg, I = 100, (2 0 -2); d = 7.470 Å, 11.8 deg, I = 94, (0 0 1); d = 3.438 Å, 25.9 deg, I = 90, (1 1 -2); d = 3.196 Å, 27.9 deg, I = 86, (2 0 1); d = 2.837 Å, 31.5 deg, I = 62, (3 1 -1); d = 5.028 Å, 17.6 deg, I = 61, (1 1 0); d = 2.586 Å, 34.7 deg, I = 56, (2 2 -1); d = 2.854 Å, 31.3 deg, I = 54, (0 2 1); d = 1.768 Å, 51.7 deg, I = 47, (4 2 -3); d = 4.759 Å, 18.6 deg, I = 47, (1 1 -1); d = 2.693 Å, 33.3 deg, I = 44, (1 1 2); d = 1.867 Å, 48.8 deg, I = 36, (0 0 4)